Record 1
# Na2SiF6
Simulated X-ray diffraction stick pattern, copper Kα. Input: a cell relaxed with PBE.

Cell lengths 9.020, 9.020, 5.115 Å; angles 90.00, 90.00, 120.00 degrees
Atoms (fractional coordinates):
1 Na 0.000 0.288 0.000
2 Na 0.000 0.623 0.500
3 Na 0.288 0.000 0.000
4 Na 0.377 0.377 0.500
5 Na 0.623 0.000 0.500
6 Na 0.712 0.712 0.000
7 Si 0.000 0.000 0.500
8 Si 0.333 0.667 0.007
9 Si 0.667 0.333 0.993
10 F 0.085 0.904 0.308
11 F 0.096 0.180 0.308
12 F 0.155 0.558 0.200
13 F 0.180 0.096 0.692
14 F 0.227 0.740 0.813
15 F 0.260 0.487 0.813
16 F 0.403 0.845 0.200
17 F 0.442 0.597 0.200
18 F 0.487 0.260 0.187
19 F 0.513 0.773 0.813
20 F 0.558 0.155 0.800
21 F 0.597 0.442 0.800
22 F 0.740 0.227 0.187
23 F 0.773 0.513 0.187
24 F 0.820 0.915 0.308
25 F 0.845 0.403 0.800
26 F 0.904 0.085 0.692
27 F 0.915 0.820 0.692

Most intense lines, 10 to 80 degrees two-theta, by intensity:
2theta, I_rel
38.81, 100
20.76, 91
26.35, 82
49.99, 79
19.68, 72
28.76, 52
56.94, 33
54.23, 29
61.70, 20
62.96, 18
35.09, 16
55.60, 15

***

Record 2
# NaSmF4
Simulated X-ray diffraction stick pattern, copper Kα. Input: a cell relaxed with PBE.

Cell lengths 6.133, 7.123, 7.129 Å; angles 62.13, 64.59, 64.62 degrees
Atoms (fractional coordinates):
1 Na 0.000 0.000 0.000
2 Na 0.002 0.481 0.481
3 Na 0.668 0.412 0.237
4 Sm 0.335 0.486 0.829
5 Sm 0.338 0.987 0.323
6 Sm 0.671 0.909 0.737
7 F 0.091 0.723 0.558
8 F 0.092 0.233 0.071
9 F 0.313 0.875 0.709
10 F 0.319 0.368 0.206
11 F 0.381 0.267 0.642
12 F 0.384 0.811 0.096
13 F 0.590 0.615 0.454
14 F 0.612 0.118 0.951
15 F 0.697 0.535 0.823
16 F 0.699 0.993 0.361
17 F 0.932 0.696 0.979
18 F 0.934 0.150 0.523

Most intense lines, 10 to 80 degrees two-theta, by intensity:
2theta, I_rel
29.57, 100
16.73, 87
42.01, 50
29.17, 49
51.90, 33
52.03, 30
42.11, 25
14.67, 24
29.26, 24
51.70, 21
52.11, 15
52.70, 14

***

Record 3
# Na4Sn3F10
Simulated X-ray diffraction stick pattern, copper Kα. Input: a cell relaxed with PBE.

Cell lengths 11.102, 11.102, 5.555 Å; angles 90.90, 90.90, 112.45 degrees
Atoms (fractional coordinates):
1 Na 0.047 0.953 0.750
2 Na 0.056 0.598 0.747
3 Na 0.157 0.843 0.250
4 Na 0.402 0.944 0.753
5 Na 0.598 0.056 0.247
6 Na 0.843 0.157 0.750
7 Na 0.944 0.402 0.253
8 Na 0.953 0.047 0.250
9 Sn 0.164 0.327 0.837
10 Sn 0.327 0.164 0.337
11 Sn 0.342 0.658 0.250
12 Sn 0.658 0.342 0.750
13 Sn 0.673 0.836 0.663
14 Sn 0.836 0.673 0.163
15 F 0.004 0.757 0.952
16 F 0.057 0.153 0.614
17 F 0.063 0.403 0.609
18 F 0.153 0.057 0.114
19 F 0.154 0.510 0.063
20 F 0.221 0.703 0.484
21 F 0.243 0.996 0.548
22 F 0.297 0.779 0.016
23 F 0.403 0.063 0.109
24 F 0.490 0.846 0.437
25 F 0.510 0.154 0.563
26 F 0.597 0.937 0.891
27 F 0.703 0.221 0.984
28 F 0.757 0.004 0.452
29 F 0.779 0.297 0.516
30 F 0.846 0.490 0.937
31 F 0.847 0.943 0.886
32 F 0.937 0.597 0.391
33 F 0.943 0.847 0.386
34 F 0.996 0.243 0.048

Most intense lines, 10 to 80 degrees two-theta, by intensity:
2theta, I_rel
23.33, 100
23.89, 93
25.10, 82
17.98, 70
28.95, 52
32.53, 48
16.10, 45
17.29, 41
22.60, 40
36.21, 37
19.24, 29
27.78, 29

***

Question: Which formula does entry 1 have?
Answer: Na2SiF6